For Sr2SmAs3Pt4, a PBE-relaxed structure gives the calculated PXRD pattern in this record (Cu Kα).
Lines closer than 0.1° are merged.

```
data_Sr2SmAs3Pt4
_space_group_name_H-M_alt 'P -4 m 2'
_space_group_IT_number 115
_space_group_name_Hall 'P -4 -2'
_cell_length_a 4.4046
_cell_length_b 4.4046
_cell_length_c 11.3646
_cell_angle_alpha 90.00
_cell_angle_beta 90.00
_cell_angle_gamma 90.00
loop_
_atom_site_label
_atom_site_type_symbol
_atom_site_fract_x
_atom_site_fract_y
_atom_site_fract_z
Sr1 Sr 0.0000 0.5000 0.2232
Sm1 Sm 0.0000 0.0000 0.5000
As1 As 0.0000 0.5000 0.8802
As2 As 0.5000 0.5000 0.5000
Pt1 Pt 0.0000 0.0000 0.0000
Pt2 Pt 0.0000 0.5000 0.6615
Pt3 Pt 0.5000 0.5000 0.0000
```

Most intense lines, 10 to 90 degrees two-theta, by angle:
- 2θ = 15.59°, I 14, hkl 0 0 2
- 2θ = 21.64°, I 23, hkl 1 0 1
- 2θ = 25.59°, I 14, hkl 1 0 2
- 2θ = 31.14°, I 13, hkl 1 0 3
- 2θ = 32.79°, I 100, hkl 1 1 2
- 2θ = 37.68°, I 15, hkl 1 0 4
- 2θ = 40.98°, I 55, hkl 2 0 0
- 2θ = 43.10°, I 40, hkl 1 1 4
- 2θ = 44.87°, I 16, hkl 1 0 5
- 2θ = 59.35°, I 18, hkl 2 2 0
- 2θ = 69.48°, I 24, hkl 3 1 2
- 2θ = 76.11°, I 15, hkl 3 1 4